[1]
The following is a simulated PXRD pattern of TbPmInPt. It was derived from a crystal structure in Alexandria, relaxed with GGA-PBE, using Cu Ka.
Peak positions follow from Bragg's law for the DFT cell and can differ from measured ones.

Structural model:
```
data_TbPmInPt
_chemical_formula_sum 'Tb4 Pm4 In4 Pt4'
_symmetry_space_group_name_H-M 'F -4 3 m'
_symmetry_Int_Tables_number 216
_symmetry_space_group_name_Hall 'F -4 2 3'
_cell_length_a 7.367
_cell_length_b 7.367
_cell_length_c 7.367
_cell_angle_alpha 90.00
_cell_angle_beta 90.00
_cell_angle_gamma 90.00
loop_
_atom_site_label
_atom_site_fract_x
_atom_site_fract_y
_atom_site_fract_z
_atom_site_occupancy
Tb1 0.000 0.000 0.000 1
Pm1 0.000 0.000 0.500 1
In1 0.250 0.250 0.250 1
Pt1 0.250 0.250 0.750 1
```

The 6 most intense peaks (5 to 70 degrees two-theta), sorted by position:
Position (°2θ)  I/Imax  hkl
20.88  3  1 1 1
34.43  100  2 2 0
40.61  2  3 1 1
49.49  18  4 0 0
54.27  1  3 3 1
61.68  37  4 2 2

=====

[2]
The following is a simulated PXRD pattern of Cs2PrB2S6. It was derived from a crystal structure in Alexandria, relaxed with GGA-PBE, using Cu Ka.
Peak positions follow from Bragg's law for the DFT cell and can differ from measured ones.

Structural model:
```
data_Cs2PrB2S6
_chemical_formula_sum 'Cs6 Pr3 B6 S18'
_symmetry_space_group_name_H-M 'R -3 m'
_symmetry_Int_Tables_number 166
_symmetry_space_group_name_Hall '-R 3 2"'
_cell_length_a 6.8986
_cell_length_b 6.8986
_cell_length_c 24.2400
_cell_angle_alpha 90.00
_cell_angle_beta 90.00
_cell_angle_gamma 120.00
loop_
_atom_site_label
_atom_site_fract_x
_atom_site_fract_y
_atom_site_fract_z
_atom_site_occupancy
Cs1 0.0000 0.0000 0.2092 1
Pr1 0.0000 0.0000 0.0000 1
B1 0.0000 0.0000 0.4058 1
S1 0.0304 0.5152 0.2570 1
```

The 6 most intense peaks (5 to 70 degrees two-theta), sorted by position:
Position (°2θ)  I/Imax  hkl
15.27  37  1 0 1
23.63  100  0 1 5
25.83  50  1 1 0
33.44  41  0 2 4
40.13  38  1 0 10
42.58  29  1 1 9

=====

[3]
The following is a simulated PXRD pattern of PaTiPb2. It was derived from a crystal structure in Alexandria, relaxed with GGA-PBE, using Cu Ka.
Peak positions follow from Bragg's law for the DFT cell and can differ from measured ones.

Structural model:
```
data_PaTiPb2
_chemical_formula_sum 'Pa4 Ti4 Pb8'
_symmetry_space_group_name_H-M 'F m -3 m'
_symmetry_Int_Tables_number 225
_symmetry_space_group_name_Hall '-F 4 2 3'
_cell_length_a 7.355
_cell_length_b 7.355
_cell_length_c 7.355
_cell_angle_alpha 90.00
_cell_angle_beta 90.00
_cell_angle_gamma 90.00
loop_
_atom_site_label
_atom_site_fract_x
_atom_site_fract_y
_atom_site_fract_z
_atom_site_occupancy
Pa1 0.000 0.000 0.000 1
Ti1 0.000 0.000 0.500 1
Pb1 0.250 0.250 0.250 1
```

The 6 most intense peaks (5 to 70 degrees two-theta), sorted by position:
Position (°2θ)  I/Imax  hkl
20.92  15  1 1 1
24.20  5  2 0 0
34.49  100  2 2 0
40.69  9  3 1 1
49.58  18  4 0 0
61.79  38  4 2 2

=====

[4]
The following is a simulated PXRD pattern of PmSmZr. It was derived from a crystal structure in Alexandria, relaxed with GGA-PBE, using Cu Ka.
Peak positions follow from Bragg's law for the DFT cell and can differ from measured ones.

Structural model:
```
data_PmSmZr
_chemical_formula_sum 'Pm2 Sm2 Zr2'
_symmetry_space_group_name_H-M 'I 4 m m'
_symmetry_Int_Tables_number 107
_symmetry_space_group_name_Hall 'I 4 -2'
_cell_length_a 3.428
_cell_length_b 3.428
_cell_length_c 15.165
_cell_angle_alpha 90.00
_cell_angle_beta 90.00
_cell_angle_gamma 90.00
loop_
_atom_site_label
_atom_site_fract_x
_atom_site_fract_y
_atom_site_fract_z
_atom_site_occupancy
Pm1 0.000 0.000 0.000 1
Sm1 0.000 0.000 0.310 1
Zr1 0.000 0.000 0.656 1
```

The 6 most intense peaks (5 to 70 degrees two-theta), sorted by position:
Position (°2θ)  I/Imax  hkl
31.53  100  1 0 3
35.52  16  0 0 6
37.08  33  1 1 0
52.29  21  1 1 6
53.45  12  2 0 0
63.39  27  2 1 3

=====

[5]
The following is a simulated PXRD pattern of Tb3Pm2Bi3. It was derived from a crystal structure in Alexandria, relaxed with GGA-PBE, using Cu Ka.
Peak positions follow from Bragg's law for the DFT cell and can differ from measured ones.

Structural model:
```
data_Tb3Pm2Bi3
_chemical_formula_sum 'Tb6 Pm4 Bi6'
_symmetry_space_group_name_H-M 'P 63/m c m'
_symmetry_Int_Tables_number 193
_symmetry_space_group_name_Hall '-P 6c 2'
_cell_length_a 9.3349
_cell_length_b 9.3349
_cell_length_c 6.4484
_cell_angle_alpha 90.00
_cell_angle_beta 90.00
_cell_angle_gamma 120.00
loop_
_atom_site_label
_atom_site_fract_x
_atom_site_fract_y
_atom_site_fract_z
_atom_site_occupancy
Tb1 0.0000 0.2443 0.2500 1
Pm1 0.3333 0.6667 0.0000 1
Bi1 0.0000 0.3849 0.7500 1
```

The 6 most intense peaks (5 to 70 degrees two-theta), sorted by position:
Position (°2θ)  I/Imax  hkl
27.67  25  0 0 2
29.23  22  2 1 0
32.42  100  2 1 1
33.25  54  3 0 0
33.79  74  1 1 2
52.02  27  2 1 3

=====

[6]
The following is a simulated PXRD pattern of Ca3Nd5. It was derived from a crystal structure in Alexandria, relaxed with GGA-PBE, using Cu Ka.
Peak positions follow from Bragg's law for the DFT cell and can differ from measured ones.

Structural model:
```
data_Ca3Nd5
_chemical_formula_sum 'Ca6 Nd10'
_symmetry_space_group_name_H-M 'C m m m'
_symmetry_Int_Tables_number 65
_symmetry_space_group_name_Hall '-C 2 2'
_cell_length_a 3.871
_cell_length_b 6.183
_cell_length_c 24.996
_cell_angle_alpha 90.00
_cell_angle_beta 90.00
_cell_angle_gamma 90.00
loop_
_atom_site_label
_atom_site_fract_x
_atom_site_fract_y
_atom_site_fract_z
_atom_site_occupancy
Ca1 0.000 0.000 0.000 1
Ca2 0.000 0.500 0.132 1
Nd1 0.000 0.000 0.260 1
Nd2 0.000 0.000 0.500 1
Nd3 0.000 0.500 0.379 1
```

The 6 most intense peaks (5 to 70 degrees two-theta), sorted by position:
Position (°2θ)  I/Imax  hkl
28.57  28  0 0 8
28.88  30  0 2 0
30.78  100  1 1 4
41.07  21  0 2 8
52.00  18  1 1 12
52.38  22  1 3 4

=====

[7]
The following is a simulated PXRD pattern of Tm3VC3. It was derived from a crystal structure in Alexandria, relaxed with GGA-PBE, using Cu Ka.
Peak positions follow from Bragg's law for the DFT cell and can differ from measured ones.

Structural model:
```
data_Tm3VC3
_chemical_formula_sum 'Tm12 V4 C12'
_symmetry_space_group_name_H-M 'C m c m'
_symmetry_Int_Tables_number 63
_symmetry_space_group_name_Hall '-C 2c 2'
_cell_length_a 8.722
_cell_length_b 10.314
_cell_length_c 4.997
_cell_angle_alpha 90.00
_cell_angle_beta 90.00
_cell_angle_gamma 90.00
loop_
_atom_site_label
_atom_site_fract_x
_atom_site_fract_y
_atom_site_fract_z
_atom_site_occupancy
Tm1 0.000 0.111 0.250 1
Tm2 0.219 0.382 0.250 1
V1 0.000 0.310 0.750 1
C1 0.000 0.125 0.750 1
C2 0.207 0.378 0.750 1
```

The 6 most intense peaks (5 to 70 degrees two-theta), sorted by position:
Position (°2θ)  I/Imax  hkl
31.98  16  3 1 0
32.31  100  2 2 1
33.26  17  1 3 1
34.79  24  0 4 0
35.94  28  0 0 2
50.89  16  0 4 2

=====

[8]
The following is a simulated PXRD pattern of Sr2MgNi16. It was derived from a crystal structure in Alexandria, relaxed with GGA-PBE, using Cu Ka.
Peak positions follow from Bragg's law for the DFT cell and can differ from measured ones.

Structural model:
```
data_Sr2MgNi16
_chemical_formula_sum 'Sr6 Mg3 Ni48'
_symmetry_space_group_name_H-M 'R 3 m'
_symmetry_Int_Tables_number 160
_symmetry_space_group_name_Hall 'R 3 -2"'
_cell_length_a 8.5109
_cell_length_b 8.5109
_cell_length_c 12.2284
_cell_angle_alpha 90.00
_cell_angle_beta 90.00
_cell_angle_gamma 120.00
loop_
_atom_site_label
_atom_site_fract_x
_atom_site_fract_y
_atom_site_fract_z
_atom_site_occupancy
Sr1 0.0000 0.0000 0.0000 1
Sr2 0.0000 0.0000 0.3060 1
Mg1 0.0000 0.0000 0.7455 1
Ni1 0.0000 0.0000 0.5482 1
Ni2 0.0001 0.2900 0.6504 1
Ni3 0.0038 0.5019 0.4948 1
Ni4 0.0065 0.5033 0.1508 1
Ni5 0.1708 0.3417 0.1404 1
```

The 6 most intense peaks (5 to 70 degrees two-theta), sorted by position:
Position (°2θ)  I/Imax  hkl
36.57  28  3 0 0
38.25  26  0 2 4
42.49  60  2 2 0
42.98  100  3 0 3
44.45  50  0 0 6
48.25  59  2 2 3